Record 1
Computed X-ray powder pattern
Compound: InGaBi
Radiation: copper Kα
Structure: a cell relaxed with PBE
Lines closer than 0.1° are merged.

Main lines, in order of rising 2θ (2θ = 10–90°):
h k l  2theta  I_rel
0 1 1  21.9  18.8
0 0 2  25.0  21.1
1 0 -2  27.1  25.4
1 1 -1  27.2  16.7
1 1 1  32.3  100.0
1 1 -2  32.7  92.6
0 2 0  36.5  42.1
0 0 3  37.9  18.4
2 0 -1  38.8  35.4
0 1 3  42.2  16.3
2 2 -1  54.3  26.6
1 3 -2  63.3  15.1

Structural model:
abc: 4.6455 4.9284 7.4610
angles: 90.00 107.11 90.00
Space group P2_1/m (No. 11)
Unique sites:
In1 0.0823 0.2500 0.1601 x2
Ga1 0.2455 0.7500 0.5085 x2
Bi1 0.3918 0.2500 0.7733 x2

Record 2
Computed X-ray powder pattern
Compound: SrTaO3
Radiation: copper Kα
Structure: a cell relaxed with PBE
Lines closer than 0.1° are merged.

Main lines, in order of rising 2θ (2θ = 10–90°):
h k l  2theta  I_rel
1 1 0  11.9  80.7
2 0 0  16.0  61.1
3 1 0  25.7  47.3
2 2 -1  28.4  59.5
2 2 1  30.0  57.8
4 0 0  32.3  86.7
0 0 2  33.0  100.0
2 4 0  39.6  25.3
3 3 1  41.0  32.3
5 3 -1  51.2  37.9
5 3 1  53.7  25.6
1 3 -3  58.0  41.2

Structural model:
abc: 11.1196 9.9779 5.4459
angles: 90.00 95.02 90.00
Space group C2/c (No. 15)
Unique sites:
Sr1 0.2140 0.1105 0.2939 x8
Ta1 0.0000 0.2372 0.7500 x4
Ta2 0.0000 0.4331 0.2500 x4
O1 0.0971 0.2890 0.4655 x8
O2 0.1033 0.4099 0.9225 x8
O3 0.1214 0.1142 0.8700 x8

Record 3
Computed X-ray powder pattern
Compound: Sm2YGa3Pt4
Radiation: copper Kα
Structure: a cell relaxed with PBE
Lines closer than 0.1° are merged.

Main lines, in order of rising 2θ (2θ = 10–90°):
h k l  2theta  I_rel
1 0 2  26.2  15.7
0 0 4  31.0  14.8
1 0 3  31.5  22.2
1 1 2  33.9  100.0
1 0 4  37.8  15.7
2 0 0  43.0  49.6
1 1 4  43.7  25.1
1 0 5  44.7  22.5
2 1 3  54.2  9.5
2 2 0  62.4  16.4
2 1 5  63.7  15.7
3 1 2  72.9  21.8

Structural model:
abc: 4.2115 4.2115 11.5564
angles: 90.00 90.00 90.00
Space group P-4m2 (No. 115)
Unique sites:
Sm1 0.0000 0.5000 0.2270 x2
Y1 0.0000 0.0000 0.5000 x1
Ga1 0.0000 0.5000 0.8751 x2
Ga2 0.5000 0.5000 0.5000 x1
Pt1 0.0000 0.0000 0.0000 x1
Pt2 0.0000 0.5000 0.6598 x2
Pt3 0.5000 0.5000 0.0000 x1

Record 4
Computed X-ray powder pattern
Compound: Nd4Au2O9
Radiation: copper Kα
Structure: a cell relaxed with PBE
Lines closer than 0.1° are merged.

Main lines, in order of rising 2θ (2θ = 10–90°):
h k l  2theta  I_rel
0 0 2  14.7  32.7
3 1 1  27.4  100.0
0 0 4  29.6  21.5
1 2 1  30.6  43.1
2 2 0  32.4  24.8
2 0 4  33.2  72.6
2 2 2  35.8  29.2
3 2 1  37.3  18.2
3 1 5  46.2  21.4
2 0 6  47.7  21.9
1 3 3  50.1  16.3
4 2 4  52.0  18.1

Structural model:
abc: 12.0591 6.2120 12.0725
angles: 90.00 90.00 90.00
Space group Pbcn (No. 60)
Unique sites:
Nd1 0.0114 0.2421 0.0894 x8
Nd2 0.1597 0.1964 0.7641 x8
Au1 0.2290 0.4201 0.5109 x8
O1 0.0000 0.0239 0.2500 x4
O2 0.0775 0.3888 0.5881 x8
O3 0.1148 0.0612 0.9461 x8
O4 0.1638 0.4408 0.3524 x8
O5 0.1970 0.1254 0.1585 x8

Record 5
Computed X-ray powder pattern
Compound: Ac2PmPt
Radiation: copper Kα
Structure: a cell relaxed with PBE
Lines closer than 0.1° are merged.

Main lines, in order of rising 2θ (2θ = 10–90°):
h k l  2theta  I_rel
0 0 9  27.0  9.1
1 0 4  27.5  100.0
0 1 5  29.0  8.8
1 0 7  32.6  19.9
0 1 8  34.7  32.6
0 1 11  41.8  15.1
1 1 0  43.5  34.9
1 1 9  52.0  9.3
0 2 4  52.3  17.5
1 1 15  65.0  8.8
2 1 4  70.3  14.6
1 1 18  73.2  11.2

Structural model:
abc: 4.1584 4.1584 29.7477
angles: 90.00 90.00 120.00
Space group R-3m (No. 166, hexagonal axes)
Unique sites:
Ac1 0.0000 0.0000 0.2288 x6
Pm1 0.0000 0.0000 0.0000 x3
Pt1 0.0000 0.0000 0.5000 x3

Record 6
Computed X-ray powder pattern
Compound: CeDy6Y8
Radiation: copper Kα
Structure: a cell relaxed with PBE
Lines closer than 0.1° are merged.

Main lines, in order of rising 2θ (2θ = 10–90°):
h k l  2theta  I_rel
0 0 1  13.4  20.8
1 1 0  18.8  13.9
0 2 1  25.7  37.4
2 1 0  29.0  31.1
0 1 2  29.2  15.8
2 1 1  32.1  100.0
3 0 0  33.0  61.7
2 -1 2  33.2  96.2
3 -2 2  40.1  16.2
5 -2 1  50.7  29.0
0 4 3  62.1  14.0
5 1 1  65.3  16.3

Structural model:
abc: 9.4156 9.4156 6.5875
angles: 90.00 90.00 120.00
Space group P-3 (No. 147)
Unique sites:
Ce1 0.0000 0.0000 0.0000 x1
Dy1 0.0851 0.6783 0.0935 x6
Y1 0.0274 0.3378 0.3990 x6
Y2 0.3333 0.6667 0.6821 x2

Record 7
Computed X-ray powder pattern
Compound: Ti13In3
Radiation: copper Kα
Structure: a cell relaxed with PBE
Lines closer than 0.1° are merged.

Main lines, in order of rising 2θ (2θ = 10–90°):
h k l  2theta  I_rel
2 1 1  27.1  8.7
2 2 2  37.5  100.0
0 4 0  42.0  17.5
0 0 4  42.4  17.2
4 0 0  46.3  13.2
0 4 4  61.2  10.4
4 4 0  64.2  9.0
4 0 4  64.5  9.0
2 6 2  73.7  11.2
2 2 6  74.3  11.3
6 2 2  79.9  9.3
4 4 4  80.0  9.1

Structural model:
abc: 7.8451 8.6111 8.5351
angles: 90.00 90.00 90.00
Space group Amm2 (No. 38)
Unique sites:
Ti1 0.0000 0.0000 0.0000 x2
Ti2 0.0000 0.0000 0.5246 x2
Ti3 0.0000 0.2416 0.7636 x4
Ti4 0.2440 0.0000 0.7578 x4
Ti5 0.2495 0.2389 0.5145 x8
Ti6 0.5000 0.0000 0.5215 x2
Ti7 0.5000 0.2369 0.7646 x4
In1 0.2456 0.0000 0.2628 x4
In2 0.5000 0.0000 0.0096 x2

Record 8
Computed X-ray powder pattern
Compound: AgBSe2
Radiation: copper Kα
Structure: a cell relaxed with PBE
Lines closer than 0.1° are merged.

Main lines, in order of rising 2θ (2θ = 10–90°):
h k l  2theta  I_rel
0 0 1  12.9  100.0
1 0 0  19.5  74.3
1 0 -1  24.9  62.9
-1 1 1  29.1  73.5
0 2 0  29.9  50.5
0 1 2  30.1  70.0
0 2 -1  32.7  64.0
1 1 2  34.0  45.5
1 -2 1  37.4  89.0
2 1 0  42.4  84.3
1 1 3  44.6  73.9
1 0 -3  46.9  34.1

Structural model:
abc: 4.6036 5.9766 6.9069
angles: 89.98 82.25 89.94
Space group P1 (No. 1)
Unique sites:
Ag1 0.0000 0.0000 0.0000 x1
Ag2 0.1842 0.5002 0.0412 x1
B1 0.1912 0.9863 0.4134 x1
B2 0.9940 0.4864 0.6274 x1
Se1 0.2409 0.3219 0.4190 x1
Se2 0.4263 0.8618 0.1817 x1
Se3 0.7587 0.3622 0.8592 x1
Se4 0.9443 0.8220 0.6218 x1

Record 9
Computed X-ray powder pattern
Compound: SmIn2Hg8
Radiation: copper Kα
Structure: a cell relaxed with PBE
Lines closer than 0.1° are merged.

Main lines, in order of rising 2θ (2θ = 10–90°):
h k l  2theta  I_rel
2 2 0  23.1  11.6
2 2 1  30.0  16.4
0 4 1  32.8  100.0
3 1 -1  34.9  65.9
3 1 1  35.1  33.1
0 0 2  38.4  31.4
3 5 0  44.4  17.1
3 3 -2  52.8  12.1
3 7 1  59.9  12.9
0 4 3  66.0  12.6
6 4 -1  68.9  20.6
6 4 1  69.0  10.5

Structural model:
abc: 9.4292 13.4102 4.6863
angles: 90.00 90.21 90.00
Space group C2/m (No. 12)
Unique sites:
Sm1 0.0000 0.0000 0.0000 x2
In1 0.0000 0.3798 0.5000 x4
Hg1 0.0000 0.2393 0.0000 x4
Hg2 0.1685 0.5000 0.0002 x4
Hg3 0.1760 0.1331 0.5005 x8

Record 10
Computed X-ray powder pattern
Compound: Pm4PrEr5
Radiation: copper Kα
Structure: a cell relaxed with PBE
Lines closer than 0.1° are merged.

Main lines, in order of rising 2θ (2θ = 10–90°):
h k l  2theta  I_rel
2 0 3  26.0  18.7
1 1 1  26.9  22.5
6 0 0  31.3  28.9
4 0 -3  31.7  13.6
4 0 3  31.8  12.9
0 0 4  31.9  18.6
3 1 2  33.8  100.0
7 1 -1  45.7  10.0
1 1 -5  48.3  15.4
0 2 0  51.6  11.6
6 2 0  61.6  10.4
7 1 5  62.0  11.2

Structural model:
abc: 17.1712 3.5398 11.2149
angles: 90.00 90.25 90.00
Space group C2/m (No. 12)
Unique sites:
Pm1 0.0309 0.0000 0.2469 x4
Pm2 0.1559 0.5000 0.7499 x4
Pr1 0.0000 0.5000 0.5000 x2
Er1 0.0000 0.5000 0.0000 x2
Er2 0.1730 0.0000 0.0469 x4
Er3 0.1752 0.0000 0.4467 x4

Record 11
Computed X-ray powder pattern
Compound: YTa3O9
Radiation: copper Kα
Structure: a cell relaxed with PBE
Lines closer than 0.1° are merged.

Main lines, in order of rising 2θ (2θ = 10–90°):
h k l  2theta  I_rel
0 0 2  22.5  91.0
1 -1 0  22.7  93.2
1 2 1  22.8  90.6
0 3 1  32.0  52.5
-1 1 2  32.0  51.9
1 2 3  32.2  100.0
1 2 -1  32.3  49.3
2 1 1  32.8  49.1
0 0 4  45.8  30.7
2 -2 0  46.3  29.6
-1 4 1  51.7  30.4
0 3 -3  57.1  30.7

Structural model:
abc: 5.4676 8.8066 8.8455
angles: 66.41 72.07 72.35
Space group P1 (No. 1)
Unique sites:
Y1 0.0000 0.0000 0.0000 x1
Y2 0.3296 0.3265 0.0004 x1
Ta1 0.0796 0.6033 0.2548 x1
Ta2 0.2439 0.7713 0.7516 x1
Ta3 0.3998 0.9335 0.2691 x1
Ta4 0.5819 0.1118 0.7368 x1
Ta5 0.7239 0.2826 0.2519 x1
Ta6 0.8945 0.4536 0.7420 x1
O1 0.0051 0.5253 0.5012 x1
O2 0.0625 0.1229 0.1862 x1
O3 0.1154 0.5686 0.7916 x1
O4 0.1271 0.7144 0.0017 x1
O5 0.1869 0.2462 0.8124 x1
O6 0.2289 0.8061 0.2140 x1
O7 0.2714 0.8599 0.5069 x1
O8 0.3790 0.9490 0.7810 x1
O9 0.4294 0.4728 0.2483 x1
O10 0.4982 0.1388 0.2613 x1
O11 0.5493 0.0547 0.0019 x1
O12 0.5948 0.6429 0.7427 x1
O13 0.6638 0.1921 0.4962 x1
O14 0.6680 0.3168 0.7417 x1
O15 0.7346 0.3602 0.9995 x1
O16 0.7409 0.7916 0.2559 x1
O17 0.9116 0.9626 0.7603 x1
O18 0.9741 0.4281 0.2169 x1

Record 12
Computed X-ray powder pattern
Compound: SiBF
Radiation: copper Kα
Structure: a cell relaxed with PBE
Lines closer than 0.1° are merged.

Main lines, in order of rising 2θ (2θ = 10–90°):
h k l  2theta  I_rel
1 1 0  22.7  14.1
1 1 -1  23.4  100.0
2 0 0  31.1  18.3
0 2 0  33.4  10.5
1 1 1  36.1  63.8
1 1 -2  37.6  16.9
0 0 2  40.6  14.7
2 2 -1  42.2  36.1
3 1 -2  43.4  13.9
4 0 -3  56.8  11.5
4 2 -1  65.1  9.5
3 3 -2  66.7  12.7

Structural model:
abc: 7.1516 5.3606 5.5260
angles: 90.00 126.40 90.00
Space group C2 (No. 5)
Unique sites:
Si1 0.1772 0.0000 0.2532 x4
B1 0.1135 0.2059 0.5044 x4
F1 0.1658 0.6781 0.8131 x4